Record 1
The following is a computed powder XRD pattern of Li4Mn2Ni3O10. It was derived from DFT lattice parameters and positions (PBE+U), using Cu Kα.

Principal peaks in the range 15 to 90 degrees two-theta, by angle:
| index | Position (°2θ) | d (Å) | intensity |
| --- | --- | --- | --- |
| 0 1 0 | 18.48 | 4.801 | 57 |
| 1 0 -1 | 18.75 | 4.732 | 100 |
| 1 -1 0 | 22.84 | 3.894 | 35 |
| -1 1 3 | 43.58 | 2.077 | 81 |
| 2 -1 1 | 43.83 | 2.065 | 88 |
| 1 2 -2 | 44.32 | 2.044 | 78 |

a = 5.042 Å, b = 5.095 Å, c = 7.657 Å
α = 101.49°, β = 108.85°, γ = 100.97°
Positions (direct):
Li: 0.083 0.269 0.090
Li: 0.301 0.895 0.281
Li: 0.699 0.105 0.719
Li: 0.917 0.731 0.910
Mn: 0.302 0.402 0.808
Mn: 0.698 0.598 0.192
Ni: 0.107 0.804 0.603
Ni: 0.500 0.500 0.500
Ni: 0.893 0.196 0.397
O: 0.081 0.553 0.349
O: 0.100 0.067 0.831
O: 0.299 0.179 0.560
O: 0.315 0.613 0.046
O: 0.481 0.718 0.728
O: 0.519 0.282 0.272
O: 0.685 0.387 0.954
O: 0.701 0.821 0.440
O: 0.900 0.933 0.169
O: 0.919 0.447 0.651

---

Record 2
The following is a computed powder XRD pattern of Li2MnNiO4. It was derived from DFT lattice parameters and positions (PBE+U), using Cu Kα.

Principal peaks in the range 15 to 90 degrees two-theta, by angle:
| index | Position (°2θ) | d (Å) | intensity |
| --- | --- | --- | --- |
| 1 0 0 | 18.57 | 4.777 | 100 |
| 1 0 -2 | 35.63 | 2.520 | 14 |
| 0 1 1 | 36.01 | 2.494 | 29 |
| 2 0 0 | 37.66 | 2.388 | 15 |
| 2 0 -2 | 43.45 | 2.083 | 26 |
| 1 1 1 | 43.77 | 2.068 | 51 |

a = 5.073 Å, b = 2.915 Å, c = 5.118 Å
α = 90.00°, β = 109.68°, γ = 90.00°
Positions (direct):
Li: 0.000 0.000 0.000
Li: 0.000 0.500 0.500
Mn: 0.500 0.000 0.500
Ni: 0.500 0.500 0.000
O: 0.273 0.500 0.275
O: 0.275 0.000 0.736
O: 0.725 0.000 0.264
O: 0.727 0.500 0.725